[1]
For Mn3OF5, a PBE+U-relaxed structure gives the simulated powder X-ray diffraction pattern in this record (a wavelength of 1.5418 Å).
Lines closer than 0.1° are merged.

Structure:
```
data_Mn3OF5
_space_group_name_H-M_alt 'P 1'
_space_group_IT_number 1
_cell_length_a 4.9048
_cell_length_b 5.8710
_cell_length_c 8.1483
_cell_angle_alpha 86.59
_cell_angle_beta 88.58
_cell_angle_gamma 87.89
loop_
_space_group_symop_operation_xyz
'x,y,z'
loop_
_atom_site_label
_atom_site_type_symbol
_atom_site_fract_x
_atom_site_fract_y
_atom_site_fract_z
_atom_site_occupancy
Mn1 Mn 0.0000 0.0000 0.0000 1
Mn2 Mn 0.0020 0.3306 0.6687 1
Mn3 Mn 0.4617 0.8565 0.6822 1
Mn4 Mn 0.4728 0.1766 0.3519 1
Mn5 Mn 0.4803 0.5214 0.9993 1
Mn6 Mn 0.9817 0.6784 0.3424 1
O1 O 0.2881 0.1270 0.5821 1
O2 O 0.2962 0.8117 0.8936 1
F1 F 0.1769 0.3122 0.9073 1
F2 F 0.1814 0.9748 0.2369 1
F3 F 0.1871 0.6266 0.5703 1
F4 F 0.2920 0.4752 0.2366 1
F5 F 0.6698 0.8677 0.4603 1
F6 F 0.6835 0.2109 0.1082 1
F7 F 0.6901 0.5542 0.7590 1
F8 F 0.7892 0.7114 0.1087 1
F9 F 0.7916 0.0515 0.7750 1
F10 F 0.7925 0.3728 0.4405 1
```

The 8 most intense peaks (2θ from 10° to 90°), in order of falling intensity:
d = 3.539 Å, 25.17°, I 100.0; d = 2.709 Å, 33.07°, I 97.2; d = 3.389 Å, 26.30°, I 91.8; d = 1.838 Å, 49.60°, I 67.9; d = 1.459 Å, 63.78°, I 34.3; d = 1.793 Å, 50.93°, I 28.3; d = 1.797 Å, 50.81°, I 27.7; d = 2.394 Å, 37.56°, I 21.0


[2]
For Li3Fe3P4O16, a PBE+U-relaxed structure gives the simulated powder X-ray diffraction pattern in this record (a wavelength of 1.5418 Å).
Lines closer than 0.1° are merged.

Structure:
```
data_Li3Fe3P4O16
_space_group_name_H-M_alt 'P -1'
_space_group_IT_number 2
_cell_length_a 8.5278
_cell_length_b 9.2132
_cell_length_c 10.0366
_cell_angle_alpha 108.15
_cell_angle_beta 105.37
_cell_angle_gamma 109.61
loop_
_space_group_symop_operation_xyz
'x,y,z'
'-x,-y,-z'
loop_
_atom_site_label
_atom_site_type_symbol
_atom_site_fract_x
_atom_site_fract_y
_atom_site_fract_z
_atom_site_occupancy
Li1 Li 0.0518 0.4726 0.3007 1
Li2 Li 0.2837 0.3361 0.7565 1
Li3 Li 0.3617 0.3870 0.3495 1
Fe1 Fe 0.1386 0.8867 0.3225 1
Fe2 Fe 0.2328 0.9484 0.9551 1
Fe3 Fe 0.4458 0.0376 0.7428 1
P1 P 0.0111 0.1866 0.4163 1
P2 P 0.0833 0.2498 0.9891 1
P3 P 0.4075 0.7276 0.8907 1
P4 P 0.4583 0.7768 0.4592 1
O1 O 0.0172 0.1723 0.5676 1
O2 O 0.0817 0.3683 0.4376 1
O3 O 0.1062 0.3084 0.8626 1
O4 O 0.1206 0.0991 0.3517 1
O5 O 0.1339 0.8593 0.0876 1
O6 O 0.1564 0.3806 0.1532 1
O7 O 0.1613 0.1197 0.9850 1
O8 O 0.1956 0.9262 0.7121 1
O9 O 0.2136 0.7156 0.8497 1
O10 O 0.2583 0.7507 0.3855 1
O11 O 0.4179 0.5712 0.7968 1
O12 O 0.4335 0.1846 0.6402 1
O13 O 0.4349 0.0547 0.3806 1
O14 O 0.4591 0.6255 0.4864 1
O15 O 0.4796 0.1027 0.1257 1
O16 O 0.4951 0.7797 0.0668 1
```

The 8 most intense peaks (2θ from 10° to 90°), in order of falling intensity:
d = 7.789 Å, 11.36°, I 100.0; d = 3.614 Å, 24.64°, I 19.7; d = 3.191 Å, 27.96°, I 19.4; d = 4.367 Å, 20.33°, I 14.5; d = 2.962 Å, 30.17°, I 12.7; d = 3.200 Å, 27.88°, I 11.0; d = 3.216 Å, 27.74°, I 9.9; d = 2.551 Å, 35.18°, I 8.5


[3]
For Na2InNiF7, a PBE+U-relaxed structure gives the simulated powder X-ray diffraction pattern in this record (a wavelength of 1.5418 Å).
Lines closer than 0.1° are merged.

Structure:
```
data_Na2InNiF7
_space_group_name_H-M_alt 'P n m a'
_space_group_IT_number 62
_cell_length_a 10.4286
_cell_length_b 7.4291
_cell_length_c 7.5995
_cell_angle_alpha 90.00
_cell_angle_beta 90.00
_cell_angle_gamma 90.00
loop_
_space_group_symop_operation_xyz
'x,y,z'
'-x,-y,-z'
'-x+1/2,-y,z+1/2'
'x+1/2,y,-z+1/2'
'x+1/2,-y+1/2,-z+1/2'
'-x+1/2,y+1/2,z+1/2'
'-x,y+1/2,-z'
'x,-y+1/2,z'
loop_
_atom_site_label
_atom_site_type_symbol
_atom_site_fract_x
_atom_site_fract_y
_atom_site_fract_z
_atom_site_occupancy
Na1 Na 0.0000 0.0000 0.0000 1
Na2 Na 0.2312 0.2500 0.2528 1
In1 In 0.2320 0.2500 0.7276 1
Ni1 Ni 0.0000 0.0000 0.5000 1
F1 F 0.0694 0.2500 0.4828 1
F2 F 0.1288 0.5516 0.3077 1
F3 F 0.1313 0.5052 0.6968 1
F4 F 0.1401 0.2500 0.9755 1
F5 F 0.1532 0.7500 0.0028 1
```

The 8 most intense peaks (2θ from 10° to 90°), in order of falling intensity:
d = 3.071 Å, 29.08°, I 100.0; d = 1.860 Å, 48.98°, I 98.5; d = 3.025 Å, 29.53°, I 89.1; d = 5.312 Å, 16.69°, I 77.2; d = 3.721 Å, 23.91°, I 53.9; d = 6.142 Å, 14.42°, I 32.2; d = 1.589 Å, 58.04°, I 25.7; d = 1.609 Å, 57.26°, I 22.9


[4]
For V4CrCuO12, a PBE+U-relaxed structure gives the simulated powder X-ray diffraction pattern in this record (a wavelength of 1.5418 Å).
Lines closer than 0.1° are merged.

Structure:
```
data_V4CrCuO12
_space_group_name_H-M_alt 'P 1'
_space_group_IT_number 1
_cell_length_a 5.9042
_cell_length_b 6.7364
_cell_length_c 6.7376
_cell_angle_alpha 83.74
_cell_angle_beta 75.25
_cell_angle_gamma 75.26
loop_
_space_group_symop_operation_xyz
'x,y,z'
loop_
_atom_site_label
_atom_site_type_symbol
_atom_site_fract_x
_atom_site_fract_y
_atom_site_fract_z
_atom_site_occupancy
V1 V 0.0000 0.0000 0.0000 1
V2 V 0.0052 0.5841 0.5842 1
V3 V 0.4893 0.4114 0.7747 1
V4 V 0.5157 0.8096 0.1727 1
Cr1 Cr 0.5025 0.2814 0.3029 1
Cu1 Cu 0.0032 0.1071 0.4777 1
O1 O 0.0129 0.1231 0.7696 1
O2 O 0.1404 0.3835 0.4171 1
O3 O 0.1986 0.5633 0.7590 1
O4 O 0.3029 0.8639 0.0159 1
O5 O 0.4266 0.9994 0.3462 1
O6 O 0.4716 0.2940 0.0140 1
O7 O 0.5335 0.5703 0.2903 1
O8 O 0.5782 0.2379 0.5851 1
O9 O 0.7023 0.5681 0.7202 1
O10 O 0.8064 0.8253 0.0208 1
O11 O 0.8646 0.1670 0.2006 1
O12 O 0.9924 0.8146 0.4611 1
```

The 8 most intense peaks (2θ from 10° to 90°), in order of falling intensity:
d = 3.150 Å, 28.33°, I 100.0; d = 2.967 Å, 30.12°, I 62.1; d = 2.774 Å, 32.27°, I 48.5; d = 4.497 Å, 19.74°, I 46.3; d = 4.821 Å, 18.40°, I 45.9; d = 2.556 Å, 35.11°, I 27.5; d = 3.802 Å, 23.40°, I 26.9; d = 6.508 Å, 13.61°, I 24.9


[5]
For Li2CoSiO4, a PBE+U-relaxed structure gives the simulated powder X-ray diffraction pattern in this record (a wavelength of 1.5418 Å).
Lines closer than 0.1° are merged.

Structure:
```
data_Li2CoSiO4
_space_group_name_H-M_alt 'P n a 21'
_space_group_IT_number 33
_cell_length_a 10.7789
_cell_length_b 5.0884
_cell_length_c 6.3114
_cell_angle_alpha 90.00
_cell_angle_beta 90.00
_cell_angle_gamma 90.00
loop_
_space_group_symop_operation_xyz
'x,y,z'
'-x,-y,z+1/2'
'-x+1/2,y+1/2,z+1/2'
'x+1/2,-y+1/2,z'
loop_
_atom_site_label
_atom_site_type_symbol
_atom_site_fract_x
_atom_site_fract_y
_atom_site_fract_z
_atom_site_occupancy
Li1 Li 0.0745 0.2035 0.0000 1
Li2 Li 0.1621 0.8090 0.2497 1
Co1 Co 0.1657 0.8104 0.7468 1
Si1 Si 0.0877 0.3107 0.4982 1
O1 O 0.0558 0.8020 0.9985 1
O2 O 0.0892 0.6363 0.4974 1
O3 O 0.1595 0.2028 0.2828 1
O4 O 0.1610 0.2073 0.7134 1
```

The 8 most intense peaks (2θ from 10° to 90°), in order of falling intensity:
d = 4.098 Å, 21.68°, I 100.0; d = 3.961 Å, 22.44°, I 98.1; d = 2.723 Å, 32.89°, I 63.6; d = 2.544 Å, 35.28°, I 53.4; d = 1.561 Å, 59.18°, I 33.5; d = 2.695 Å, 33.25°, I 31.4; d = 3.192 Å, 27.95°, I 24.6; d = 2.478 Å, 36.26°, I 24.0


[6]
For Li4Mn3Nb2Cu3O16, a PBE+U-relaxed structure gives the simulated powder X-ray diffraction pattern in this record (a wavelength of 1.5418 Å).
Lines closer than 0.1° are merged.

Structure:
```
data_Li4Mn3Nb2Cu3O16
_space_group_name_H-M_alt 'P 1'
_space_group_IT_number 1
_cell_length_a 5.8935
_cell_length_b 5.9368
_cell_length_c 9.7928
_cell_angle_alpha 87.59
_cell_angle_beta 89.72
_cell_angle_gamma 61.17
loop_
_space_group_symop_operation_xyz
'x,y,z'
loop_
_atom_site_label
_atom_site_type_symbol
_atom_site_fract_x
_atom_site_fract_y
_atom_site_fract_z
_atom_site_occupancy
Li1 Li 0.0000 0.0000 0.0000 1
Li2 Li 0.0010 0.0032 0.4924 1
Li3 Li 0.3192 0.3567 0.9105 1
Li4 Li 0.6623 0.6858 0.4089 1
Mn1 Mn 0.1647 0.6673 0.2271 1
Mn2 Mn 0.3332 0.8390 0.7218 1
Mn3 Mn 0.8314 0.8366 0.7227 1
Nb1 Nb 0.3511 0.3201 0.4917 1
Nb2 Nb 0.6602 0.6701 0.0021 1
Cu1 Cu 0.1655 0.1750 0.2178 1
Cu2 Cu 0.6600 0.1739 0.2162 1
Cu3 Cu 0.8274 0.3482 0.7205 1
O1 O 0.9995 0.0058 0.8110 1
O2 O 0.0256 0.5130 0.3523 1
O3 O 0.1543 0.6893 0.6161 1
O4 O 0.1794 0.1562 0.5944 1
O5 O 0.3253 0.3534 0.1275 1
O6 O 0.3325 0.8266 0.1013 1
O7 O 0.4378 0.5442 0.3617 1
O8 O 0.4811 0.5597 0.8498 1
O9 O 0.4961 0.0522 0.3642 1
O10 O 0.5140 0.9767 0.8351 1
O11 O 0.6581 0.6863 0.6223 1
O12 O 0.6728 0.1633 0.6015 1
O13 O 0.8149 0.3339 0.0796 1
O14 O 0.8573 0.8026 0.0956 1
O15 O 0.9541 0.5492 0.8468 1
O16 O 0.9958 0.0033 0.3027 1
```

The 8 most intense peaks (2θ from 10° to 90°), in order of falling intensity:
d = 4.891 Å, 18.14°, I 100.0; d = 4.677 Å, 18.97°, I 79.7; d = 4.566 Å, 19.44°, I 75.2; d = 4.599 Å, 19.30°, I 73.2; d = 2.602 Å, 34.46°, I 72.6; d = 2.487 Å, 36.11°, I 72.4; d = 4.466 Å, 19.88°, I 72.0; d = 4.505 Å, 19.71°, I 68.4


[7]
For Li4Nb2Cr3Cu3O16, a PBE+U-relaxed structure gives the simulated powder X-ray diffraction pattern in this record (a wavelength of 1.5418 Å).
Lines closer than 0.1° are merged.

Structure:
```
data_Li4Nb2Cr3Cu3O16
_space_group_name_H-M_alt 'P 1'
_space_group_IT_number 1
_cell_length_a 5.8464
_cell_length_b 5.9968
_cell_length_c 9.7725
_cell_angle_alpha 93.40
_cell_angle_beta 90.02
_cell_angle_gamma 119.16
loop_
_space_group_symop_operation_xyz
'x,y,z'
loop_
_atom_site_label
_atom_site_type_symbol
_atom_site_fract_x
_atom_site_fract_y
_atom_site_fract_z
_atom_site_occupancy
Li1 Li 0.0000 0.0000 0.0000 1
Li2 Li 0.0058 0.0103 0.5048 1
Li3 Li 0.3410 0.6817 0.5895 1
Li4 Li 0.6626 0.3245 0.0943 1
Nb1 Nb 0.3340 0.6698 0.0040 1
Nb2 Nb 0.6862 0.3708 0.4971 1
Cr1 Cr 0.1687 0.8294 0.2780 1
Cr2 Cr 0.6611 0.8288 0.2776 1
Cr3 Cr 0.8300 0.6614 0.7752 1
Cu1 Cu 0.1695 0.3376 0.2791 1
Cu2 Cu 0.3399 0.1770 0.7796 1
Cu3 Cu 0.8373 0.1767 0.7802 1
O1 O 0.0000 0.0014 0.6945 1
O2 O 0.0344 0.5135 0.1521 1
O3 O 0.1418 0.7939 0.9074 1
O4 O 0.1542 0.3092 0.8978 1
O5 O 0.3330 0.1596 0.4051 1
O6 O 0.3380 0.6747 0.3815 1
O7 O 0.4791 0.5129 0.1519 1
O8 O 0.4798 0.9596 0.1539 1
O9 O 0.5305 0.0582 0.6611 1
O10 O 0.5384 0.5157 0.6377 1
O11 O 0.6505 0.7916 0.9080 1
O12 O 0.6695 0.3382 0.8732 1
O13 O 0.8270 0.1596 0.4047 1
O14 O 0.8374 0.6739 0.3894 1
O15 O 0.9787 0.5199 0.6373 1
O16 O 0.9973 0.9940 0.1864 1
```

The 8 most intense peaks (2θ from 10° to 90°), in order of falling intensity:
d = 4.467 Å, 19.88°, I 100.0; d = 2.487 Å, 36.11°, I 61.2; d = 4.584 Å, 19.37°, I 60.7; d = 4.875 Å, 18.20°, I 41.2; d = 1.974 Å, 45.98°, I 36.8; d = 1.496 Å, 62.03°, I 35.4; d = 2.619 Å, 34.23°, I 32.7; d = 2.783 Å, 32.16°, I 29.9


[8]
For MgMn4O4F6, a PBE+U-relaxed structure gives the simulated powder X-ray diffraction pattern in this record (a wavelength of 1.5418 Å).
Lines closer than 0.1° are merged.

Structure:
```
data_MgMn4O4F6
_space_group_name_H-M_alt 'P 1'
_space_group_IT_number 1
_cell_length_a 5.0331
_cell_length_b 6.1429
_cell_length_c 6.8679
_cell_angle_alpha 107.38
_cell_angle_beta 90.39
_cell_angle_gamma 110.80
loop_
_space_group_symop_operation_xyz
'x,y,z'
loop_
_atom_site_label
_atom_site_type_symbol
_atom_site_fract_x
_atom_site_fract_y
_atom_site_fract_z
_atom_site_occupancy
Mg1 Mg 0.0000 0.0000 0.0000 1
Mn1 Mn 0.0697 0.5338 0.5472 1
Mn2 Mn 0.1143 0.5440 0.0513 1
Mn3 Mn 0.4732 0.2971 0.7885 1
Mn4 Mn 0.5126 0.3308 0.3035 1
O1 O 0.2329 0.4840 0.7780 1
O2 O 0.3279 0.3323 0.0553 1
O3 O 0.6685 0.3191 0.5523 1
O4 O 0.9081 0.5341 0.2925 1
F1 F 0.0976 0.1746 0.3359 1
F2 F 0.1417 0.9244 0.7243 1
F3 F 0.3430 0.9184 0.1193 1
F4 F 0.4398 0.6589 0.4637 1
F5 F 0.7528 0.1708 0.9089 1
F6 F 0.8111 0.6530 0.9566 1
```

The 8 most intense peaks (2θ from 10° to 90°), in order of falling intensity:
d = 5.436 Å, 16.31°, I 100.0; d = 2.827 Å, 31.64°, I 32.9; d = 2.841 Å, 31.49°, I 31.9; d = 2.860 Å, 31.28°, I 24.2; d = 2.040 Å, 44.40°, I 23.9; d = 3.297 Å, 27.05°, I 22.9; d = 3.026 Å, 29.52°, I 18.7; d = 4.667 Å, 19.01°, I 18.5